# Fe2Te4ClO12
Calculated powder diffraction line list, λ = 1.5418 Å (Cu Kα). Input: DFT lattice parameters and positions (GGA+U).
Peak positions follow from Bragg's law for the DFT cell and can differ from measured ones.

Principal peaks in the range 2θ from 10° to 80°, by intensity:
d = 3.247 Å, I 100, hkl -1 1 1
d = 3.404 Å, I 55, hkl 1 0 2
d = 4.896 Å, I 51, hkl 0 0 2
d = 4.722 Å, I 46, hkl 1 1 0
d = 4.107 Å, I 45, hkl 1 1 -1
d = 2.759 Å, I 36, hkl 0 2 -1

Structural model:
a b c (Å): 5.2696 6.5487 9.9371
angles (deg): 80.47 88.87 69.46
Fractional coordinates of all 19 atoms:
Fe  0.1867  0.1270  0.4389
Fe  0.8133  0.8730  0.5611
Te  0.2747  0.8979  0.7933
Te  0.3148  0.6280  0.3163
Te  0.6852  0.3720  0.6837
Te  0.7253  0.1021  0.2067
Cl  0.5000  0.0000  0.0000
O  0.0054  0.2174  0.8041
O  0.0097  0.1887  0.2553
O  0.1550  0.8219  0.4592
O  0.2318  0.4071  0.4322
O  0.4184  0.0109  0.6304
O  0.4710  0.4026  0.1769
O  0.5290  0.5974  0.8231
O  0.5816  0.9891  0.3696
O  0.7682  0.5929  0.5678
O  0.8450  0.1781  0.5408
O  0.9903  0.8113  0.7447
O  0.9946  0.7826  0.1959